This entry pairs a crystal structure of Ti4MnP6O24 with its theoretical powder XRD pattern. Radiation: Cu Kα X-rays. Structure: the GGA+U geometry in Alexandria.
Lines closer than 0.1° are merged.

Principal peaks in the range 15° ≤ 2θ ≤ 90°, low angle first:
Position (°2θ)  I_rel  index
20.52  53  1 1 0
24.11  100  2 -1 3
29.17  17  0 2 4
31.88  22  2 1 1
32.69  35  2 -1 6
35.96  19  3 0 0
46.91  19  3 -2 8
56.27  16  1 4 0

Atomic structure:
abc: 8.6502 8.6502 21.2451
angles: 90.00 90.00 120.00
Space group R-3 (No. 148, hexagonal axes)
Asymmetric unit:
Ti 0.0000 0.0000 0.1342
Ti 0.0000 0.0000 0.3526
Mn 0.0000 0.0000 0.5000
P 0.0065 0.2904 0.2466
O 0.0052 0.1886 0.3073
O 0.0196 0.1948 0.1884
O 0.0238 0.8393 0.4200
O 0.0288 0.1987 0.9155